Computed powder XRD pattern
Compound: AcPr6Se8
Radiation: Cu Kα (weighted mean of Kα1 and Kα2)
Structure: a cell relaxed with GGA-PBE
Kinematic intensities with the Lorentz-polarization factor, no thermal factor.

Top 10 peaks for 10 to 90 degrees two-theta, by intensity:
d (Å)	Position (°2θ)	Rel. int.
3.020	29.57	100
2.136	42.32	75
1.351	69.60	34
1.744	52.47	26
1.233	77.39	25
1.510	61.39	12
3.488	25.54	12
6.976	12.69	12
3.643	24.44	11
2.772	32.30	8

Crystal structure
Cell lengths 8.5432, 8.5432, 8.5432 Å; angles 60.00, 60.00, 60.00 degrees
Fractional positions:
Ac1 0.0000 0.0000 0.0000
Pr1 0.0000 0.0000 0.5000
Pr2 0.0000 0.5000 0.0000
Pr3 0.0000 0.5000 0.5000
Pr4 0.5000 0.0000 0.0000
Pr5 0.5000 0.0000 0.5000
Pr6 0.5000 0.5000 0.0000
Se1 0.2500 0.2500 0.2500
Se2 0.2586 0.2586 0.7414
Se3 0.2586 0.7414 0.2586
Se4 0.2586 0.7414 0.7414
Se5 0.7414 0.2586 0.2586
Se6 0.7414 0.2586 0.7414
Se7 0.7414 0.7414 0.2586
Se8 0.7500 0.7500 0.7500



Computed powder XRD pattern
Compound: TaFeB
Radiation: Cu Kα (weighted mean of Kα1 and Kα2)
Structure: a cell relaxed with GGA-PBE
Kinematic intensities with the Lorentz-polarization factor, no thermal factor.

Top 10 peaks for 10 to 90 degrees two-theta, by intensity:
d (Å)	Position (°2θ)	Rel. int.
2.182	41.39	100
2.997	29.82	55
2.011	45.08	43
1.312	72.00	40
1.962	46.28	31
3.183	28.03	25
1.439	64.77	21
2.595	34.57	20
2.136	42.32	19
1.591	57.95	15

Crystal structure
Cell lengths 10.3738, 3.1829, 5.9963 Å; angles 90.00, 90.00, 90.00 degrees
Fractional positions:
Ta1 0.0453 0.0000 0.2407
Ta2 0.2500 0.0000 0.8594
Ta3 0.4547 0.0000 0.2407
Ta4 0.5453 0.0000 0.7593
Ta5 0.7500 0.0000 0.1406
Ta6 0.9547 0.0000 0.7593
Fe1 0.1287 0.5000 0.5737
Fe2 0.2500 0.5000 0.2108
Fe3 0.3713 0.5000 0.5737
Fe4 0.6287 0.5000 0.4263
Fe5 0.7500 0.5000 0.7892
Fe6 0.8713 0.5000 0.4263
B1 0.0865 0.5000 0.9513
B2 0.2500 0.0000 0.4497
B3 0.4135 0.5000 0.9513
B4 0.5865 0.5000 0.0487
B5 0.7500 0.0000 0.5503
B6 0.9135 0.5000 0.0487



Computed powder XRD pattern
Compound: Ac15Nd4Sm
Radiation: Cu Kα (weighted mean of Kα1 and Kα2)
Structure: a cell relaxed with GGA-PBE
Kinematic intensities with the Lorentz-polarization factor, no thermal factor.

Top 10 peaks for 10 to 90 degrees two-theta, by intensity:
d (Å)	Position (°2θ)	Rel. int.
3.195	27.92	100
2.771	32.30	34
1.670	54.97	31
1.955	46.44	26
2.759	32.45	17
1.665	55.16	16
1.598	57.70	14
1.960	46.33	13
1.269	74.83	13
1.239	76.97	12

Crystal structure
Cell lengths 5.5426, 5.5426, 27.5912 Å; angles 90.00, 90.00, 90.00 degrees
Fractional positions:
Ac1 0.0000 0.0000 0.0000
Ac2 0.0000 0.0000 0.1996
Ac3 0.0000 0.0000 0.4000
Ac4 0.0000 0.0000 0.6000
Ac5 0.0000 0.0000 0.8004
Ac6 0.0000 0.5000 0.0995
Ac7 0.0000 0.5000 0.2999
Ac8 0.0000 0.5000 0.5000
Ac9 0.0000 0.5000 0.7001
Ac10 0.0000 0.5000 0.9005
Ac11 0.5000 0.0000 0.0995
Ac12 0.5000 0.0000 0.2999
Ac13 0.5000 0.0000 0.5000
Ac14 0.5000 0.0000 0.7001
Ac15 0.5000 0.0000 0.9005
Nd1 0.5000 0.5000 0.1997
Nd2 0.5000 0.5000 0.4000
Nd3 0.5000 0.5000 0.6000
Nd4 0.5000 0.5000 0.8003
Sm1 0.5000 0.5000 0.0000